Record 1
The following is a simulated powder diffraction line list of KPmS2O8. It was derived from the PBE geometry in Alexandria, using copper Kα.
No peak broadening, texture or thermal motion is included.

Peak list (10 most intense, 5° ≤ 2θ ≤ 70°, sorted by position)
2θ = 10.8°, rel. 42
2θ = 18.8°, rel. 47
2θ = 21.8°, rel. 100
2θ = 28.9°, rel. 82
2θ = 32.9°, rel. 42
2θ = 38.2°, rel. 16
2θ = 39.8°, rel. 29
2θ = 44.4°, rel. 37
2θ = 51.3°, rel. 19
2θ = 56.3°, rel. 38

Atomic structure:
```
12
Lattice="5.445 0.000 0.000 -2.722 4.715 0.000 0.000 0.000 8.174" Properties=species:S:1:pos:R:3 pbc="T T T"
K 0.000 0.000 0.000
Pm 0.000 0.000 4.087
S 0.000 3.143 6.094
S 2.722 1.572 2.080
O -0.299 1.776 5.555
O -1.035 4.087 5.555
O 0.000 3.143 7.548
O 1.388 1.147 2.619
O 1.334 3.568 5.555
O 2.722 1.572 0.626
O 3.757 0.628 2.619
O 3.022 2.939 2.619
```

=====

Record 2
The following is a simulated powder diffraction line list of Be3CuAu3. It was derived from the PBE geometry in Alexandria, using copper Kα.
No peak broadening, texture or thermal motion is included.

Peak list (10 most intense, 5° ≤ 2θ ≤ 70°, sorted by position)
2θ = 15.7°, rel. 19
2θ = 30.3°, rel. 55
2θ = 31.7°, rel. 100
2θ = 44.4°, rel. 88
2θ = 45.1°, rel. 21
2θ = 45.7°, rel. 20
2θ = 55.3°, rel. 21
2θ = 55.8°, rel. 20
2θ = 63.0°, rel. 8
2θ = 66.1°, rel. 14

Atomic structure:
```
14
Lattice="3.973 -4.023 0.000 3.973 4.023 0.000 0.000 0.000 5.906" Properties=species:S:1:pos:R:3 pbc="T T T"
Be 1.787 0.000 0.000
Be 3.973 2.193 0.000
Be 1.958 0.000 2.953
Be 5.988 0.000 2.953
Be 3.973 -2.193 0.000
Be 6.160 0.000 0.000
Cu 0.000 0.000 1.588
Cu 0.000 0.000 4.318
Au 1.987 2.011 1.508
Au 1.987 2.011 4.397
Au 1.987 -2.011 1.508
Au 1.987 -2.011 4.397
Au 3.973 0.000 1.454
Au 3.973 0.000 4.451
```